Record 1
For CrIn2Sb, a cell relaxed with GGA-PBE gives the computed powder diffractogram in this record (λ = 1.5418 Å (Cu Kα)).
Kinematic intensities with the Lorentz-polarization factor, no thermal factor.

a b c (Å): 7.0752 7.0752 7.0752
angles (deg): 154.44 140.69 47.48
Fractional coordinates of all 4 atoms:
Cr 0.0000 0.0000 0.0000
In 0.1923 0.6923 0.5000
In 0.5078 0.5078 0.0000
Sb 0.8209 0.3209 0.5000

Principal peaks in the range 2θ = 10–90°, by angle:
2theta, d [Å], I/Imax
27.9, 3.198, 78
29.4, 3.043, 20
37.1, 2.425, 100
37.8, 2.380, 35
41.8, 2.159, 19
44.5, 2.035, 17
45.4, 1.996, 19
60.5, 1.529, 16
67.8, 1.382, 16
68.1, 1.377, 25

Record 2
For ScCrInW2, a cell relaxed with GGA-PBE gives the computed powder diffractogram in this record (λ = 1.5418 Å (Cu Kα)).
Kinematic intensities with the Lorentz-polarization factor, no thermal factor.

a b c (Å): 4.7389 4.7389 4.3468
angles (deg): 90.00 90.00 90.00
Fractional coordinates of all 5 atoms:
Sc 0.0000 0.0000 0.0000
Cr 0.0000 0.0000 0.5000
In 0.5000 0.5000 0.5000
W 0.0000 0.5000 0.0000
W 0.5000 0.0000 0.0000

Principal peaks in the range 2θ = 10–90°, by angle:
2theta, d [Å], I/Imax
20.4, 4.347, 20
33.8, 2.654, 100
38.0, 2.369, 51
41.6, 2.173, 20
43.5, 2.080, 12
54.8, 1.675, 17
57.5, 1.602, 30
65.9, 1.417, 29
70.9, 1.330, 12
71.0, 1.327, 16

Record 3
For Cr2In2Sn, a cell relaxed with GGA-PBE gives the computed powder diffractogram in this record (λ = 1.5418 Å (Cu Kα)).
Kinematic intensities with the Lorentz-polarization factor, no thermal factor.

a b c (Å): 6.5989 6.5989 4.3506
angles (deg): 90.00 90.00 90.00
Fractional coordinates of all 10 atoms:
Cr 0.1127 0.3873 0.0000
Cr 0.3873 0.8873 0.0000
Cr 0.6127 0.1127 0.0000
Cr 0.8873 0.6127 0.0000
In 0.1696 0.6696 0.5000
In 0.3304 0.1696 0.5000
In 0.6696 0.8304 0.5000
In 0.8304 0.3304 0.5000
Sn 0.0000 0.0000 0.0000
Sn 0.5000 0.5000 0.0000

Principal peaks in the range 2θ = 10–90°, by angle:
2theta, d [Å], I/Imax
28.0, 3.182, 22
30.3, 2.951, 15
34.1, 2.629, 72
36.8, 2.442, 100
38.6, 2.333, 14
41.5, 2.175, 32
43.4, 2.087, 41
61.6, 1.506, 29
63.5, 1.465, 18
76.9, 1.240, 13

Record 4
For TaCr4In, a cell relaxed with GGA-PBE gives the computed powder diffractogram in this record (λ = 1.5418 Å (Cu Kα)).
Kinematic intensities with the Lorentz-polarization factor, no thermal factor.

a b c (Å): 4.9258 4.9258 4.9258
angles (deg): 60.00 60.00 60.00
Fractional coordinates of all 6 atoms:
Ta 0.0000 0.0000 0.0000
Cr 0.3759 0.3759 0.3759
Cr 0.3759 0.3759 0.8724
Cr 0.3759 0.8724 0.3759
Cr 0.8724 0.3759 0.3759
In 0.7500 0.7500 0.7500

Principal peaks in the range 2θ = 10–90°, by angle:
2theta, d [Å], I/Imax
22.1, 4.022, 21
36.5, 2.463, 69
43.1, 2.100, 100
45.1, 2.011, 14
57.7, 1.598, 6
65.7, 1.422, 25
70.2, 1.341, 30
77.5, 1.231, 21
81.8, 1.177, 5
88.8, 1.101, 11